The following is a theoretical X-ray diffraction stick pattern of PrCu2H8Rh3. It was derived from the PBE geometry in Alexandria, using copper Kα.

The 10 most intense peaks (15° ≤ 2θ ≤ 90°), sorted by position:
hkl, 2theta, d/Å, I (rel.)
1 1 0, 30.79, 2.904, 25
1 0 4, 32.15, 2.784, 44
0 2 1, 36.35, 2.472, 80
1 1 3, 36.95, 2.433, 100
0 1 5, 38.12, 2.361, 48
2 0 2, 38.24, 2.354, 66
0 3 3, 58.85, 1.569, 25
1 2 5, 59.68, 1.549, 26
2 2 0, 64.14, 1.452, 33
2 0 8, 67.27, 1.392, 28

Crystal structure
abc: 5.8080 5.8080 13.3693
angles: 90.00 90.00 120.00
Space group R3m (No. 160, hexagonal axes)
One atom of each set of equivalent atoms:
Pr 0.0000 0.0000 0.0000 (multiplicity 3)
Cu 0.0000 0.0000 0.2495 (multiplicity 3)
Cu 0.0000 0.0000 0.6143 (multiplicity 3)
H 0.0000 0.0000 0.3799 (multiplicity 3)
H 0.0000 0.0000 0.8326 (multiplicity 3)
H 0.0901 0.5450 0.3860 (multiplicity 9)
H 0.1751 0.3501 0.1919 (multiplicity 9)
Rh 0.0065 0.5033 0.1198 (multiplicity 9)